# RbLiMg14
Computed PXRD pattern, copper Kα. Input: a DFT-relaxed cell (PBE, the Materials Project).
Intensities are scaled so that the largest is 100.

Atomic structure:
a b c (Å): 6.630 6.630 10.467
angles (deg): 90.00 90.00 120.00
Sites, in units of the cell vectors:
Rb (0.000, 0.000, 0.000)
Li (0.000, 0.000, 0.500)
Mg (0.006, 0.503, 0.000)
Mg (0.172, 0.344, 0.265)
Mg (0.172, 0.344, 0.735)
Mg (0.172, 0.828, 0.265)
Mg (0.172, 0.828, 0.735)
Mg (0.497, 0.503, 0.000)
Mg (0.497, 0.994, 0.000)
Mg (0.501, 0.001, 0.500)
Mg (0.501, 0.499, 0.500)
Mg (0.656, 0.828, 0.265)
Mg (0.656, 0.828, 0.735)
Mg (0.667, 0.333, 0.246)
Mg (0.667, 0.333, 0.754)
Mg (0.999, 0.499, 0.500)

Peak list (10 most intense, 10° ≤ 2θ ≤ 90°, in order of falling intensity)
(2 0 2), 35.67°, intensity 100.0
(2 0 0), 31.15°, intensity 25.1
(0 0 4), 34.27°, intensity 23.9
(1 0 1), 17.62°, intensity 23.9
(2 2 4), 66.81°, intensity 18.8
(2 2 0), 55.43°, intensity 17.9
(2 0 6), 62.28°, intensity 16.8
(2 0 4), 46.98°, intensity 14.9
(4 0 2), 67.68°, intensity 14.1
(1 1 1), 28.24°, intensity 9.6